Computed X-ray powder pattern
Compound: Er6Ga17Pt5
Radiation: λ = 1.5418 Å (Cu Kα)
Structure: a structure optimized by DFT (PBE)
Neutral-atom scattering factors, no anomalous dispersion.

Most intense lines, 10° ≤ 2θ ≤ 90°, by angle:
(2 0 -2), 14.42 deg, rel. 14
(0 0 6), 34.99 deg, rel. 21
(1 1 -5), 35.49 deg, rel. 100
(5 1 1), 37.57 deg, rel. 26
(0 2 0), 42.63 deg, rel. 31
(6 0 -6), 44.25 deg, rel. 19

Structural model:
```
data_Er6Ga17Pt5
_chemical_formula_sum 'Er12 Ga34 Pt10'
_symmetry_space_group_name_H-M 'C 1 2/m 1'
_symmetry_Int_Tables_number 12
_cell_length_a 15.7395
_cell_length_b 4.2415
_cell_length_c 15.7754
_cell_angle_alpha 90.00
_cell_angle_beta 102.43
_cell_angle_gamma 90.00
loop_
_symmetry_equiv_pos_as_xyz
'x,y,z'
'-x,-y,-z'
'-x,y,-z'
'x,-y,z'
'x+1/2,y+1/2,z'
'-x+1/2,-y+1/2,-z'
'-x+1/2,y+1/2,-z'
'x+1/2,-y+1/2,z'
loop_
_atom_site_label
_atom_site_type_symbol
_atom_site_fract_x
_atom_site_fract_y
_atom_site_fract_z
Er1 Er 0.0897 0.0000 0.4088
Er2 Er 0.0981 0.5000 0.9047
Er3 Er 0.2505 0.0000 0.2530
Ga1 Ga 0.0000 0.0000 0.0000
Ga2 Ga 0.0395 0.0000 0.1767
Ga3 Ga 0.0425 0.5000 0.6745
Ga4 Ga 0.1040 0.5000 0.2648
Ga5 Ga 0.1068 0.0000 0.7674
Ga6 Ga 0.1742 0.5000 0.5428
Ga7 Ga 0.1780 0.0000 0.0397
Ga8 Ga 0.2305 0.5000 0.3959
Ga9 Ga 0.2373 0.0000 0.8922
Pt1 Pt 0.0000 0.5000 0.5000
Pt2 Pt 0.0957 0.5000 0.0970
Pt3 Pt 0.1046 0.0000 0.6037
```

=====

Computed X-ray powder pattern
Compound: Er3Ga8Rh3
Radiation: λ = 1.5418 Å (Cu Kα)
Structure: a structure optimized by DFT (PBE)
Neutral-atom scattering factors, no anomalous dispersion.

Most intense lines, 10° ≤ 2θ ≤ 90°, by angle:
(1 0 3), 30.60 deg, rel. 18
(1 3 0), 34.65 deg, rel. 25
(0 3 3), 35.06 deg, rel. 21
(1 2 3), 35.72 deg, rel. 100
(2 0 0), 43.15 deg, rel. 35
(0 0 6), 44.50 deg, rel. 17

Structural model:
```
data_Er3Ga8Rh3
_chemical_formula_sum 'Er6 Ga16 Rh6'
_symmetry_space_group_name_H-M 'I m m m'
_symmetry_Int_Tables_number 71
_symmetry_space_group_name_Hall '-I 2 2'
_cell_length_a 4.1932
_cell_length_b 9.8716
_cell_length_c 12.2164
_cell_angle_alpha 90.00
_cell_angle_beta 90.00
_cell_angle_gamma 90.00
loop_
_atom_site_label
_atom_site_type_symbol
_atom_site_fract_x
_atom_site_fract_y
_atom_site_fract_z
Er1 Er 0.0000 0.0000 0.0000
Er2 Er 0.0000 0.0000 0.3280
Ga1 Ga 0.0000 0.2849 0.1248
Ga2 Ga 0.0000 0.3720 0.3346
Rh1 Rh 0.0000 0.2137 0.5000
Rh2 Rh 0.0000 0.5000 0.0000
```

=====

Computed X-ray powder pattern
Compound: ErGa3Ru
Radiation: λ = 1.5418 Å (Cu Kα)
Structure: a structure optimized by DFT (PBE)
Neutral-atom scattering factors, no anomalous dispersion.

Most intense lines, 10° ≤ 2θ ≤ 90°, by angle:
(2 0 0), 27.86 deg, rel. 9
(2 1 0), 31.23 deg, rel. 15
(2 2 0), 39.81 deg, rel. 100
(4 0 0), 57.56 deg, rel. 14
(4 2 0), 65.13 deg, rel. 9
(4 2 2), 72.26 deg, rel. 24

Structural model:
```
data_ErGa3Ru
_chemical_formula_sum 'Er3 Ga9 Ru3'
_symmetry_space_group_name_H-M 'P m -3 m'
_symmetry_Int_Tables_number 221
_symmetry_space_group_name_Hall '-P 4 2 3'
_cell_length_a 6.4051
_cell_length_b 6.4051
_cell_length_c 6.4051
_cell_angle_alpha 90.00
_cell_angle_beta 90.00
_cell_angle_gamma 90.00
loop_
_atom_site_label
_atom_site_type_symbol
_atom_site_fract_x
_atom_site_fract_y
_atom_site_fract_z
Er1 Er 0.0000 0.0000 0.5000
Ga1 Ga 0.0000 0.0000 0.0000
Ga2 Ga 0.2886 0.2886 0.2886
Ru1 Ru 0.0000 0.5000 0.5000
```